# HgSb4S8
Calculated powder diffractogram, Cu Ka. Input: a structure optimized by DFT (GGA-PBE).
Peak positions follow from Bragg's law for the DFT cell and can differ from measured ones.

Peak list (10 most intense, 5° ≤ 2θ ≤ 70°, by angle)
| 2theta | I/Imax |
| --- | --- |
| 13.75 | 26.3 |
| 15.89 | 28.2 |
| 22.55 | 19.5 |
| 26.50 | 100.0 |
| 27.71 | 15.7 |
| 32.10 | 28.6 |
| 42.10 | 47.8 |
| 46.03 | 59.8 |
| 53.90 | 13.5 |
| 64.13 | 23.2 |

Crystal structure
```
HgSb4S8
1.0
0.000 5.577 5.577
5.577 0.000 5.577
5.577 5.577 0.000
Hg Sb S
1 4 8
Direct
0.000 0.000 0.000
0.382 0.382 0.382
0.382 0.382 0.855
0.382 0.855 0.382
0.855 0.382 0.382
0.133 0.133 0.133
0.133 0.133 0.602
0.133 0.602 0.133
0.137 0.621 0.621
0.602 0.133 0.133
0.621 0.137 0.621
0.621 0.621 0.137
0.621 0.621 0.621
```